No. 1
The following is a calculated XRD peak list of Mn5O3F5. It was derived from a PBE+U-relaxed structure, using Cu Kα, 1.54184 Å.

Peak list (6 most intense, 10° ≤ 2θ ≤ 90°, by angle)
Position (°2θ)  Rel. int.  h k l
16.9  100  0 1 -1
17.1  71  -1 1 1
32.6  65  1 -1 3
32.9  43  1 1 -3
39.5  41  0 2 2
39.7  40  2 -2 2

Structure:
```
data_Mn5O3F5
_chemical_formula_sum 'Mn10 O6 F10'
_cell_length_a 6.3513
_cell_length_b 6.4031
_cell_length_c 11.0387
_cell_angle_alpha 90.52
_cell_angle_beta 105.66
_cell_angle_gamma 119.48
_space_group_name_H-M_alt 'P 1'
_space_group_IT_number 1
_space_group_name_Hall 'P 1'
loop_
_atom_site_label
_atom_site_fract_x
_atom_site_fract_y
_atom_site_fract_z
Mn1 0.0000 0.0000 0.0000
Mn2 0.9996 0.4975 0.4993
Mn3 0.0870 0.6045 0.2033
Mn4 0.0933 0.0914 0.7028
Mn5 0.5934 0.8549 0.4547
Mn6 0.5940 0.1048 0.1989
Mn7 0.5963 0.5788 0.1932
Mn8 0.5971 0.3439 0.9555
Mn9 0.6031 0.5998 0.7031
Mn10 0.6110 0.0794 0.7005
O1 0.3838 0.2303 0.0804
O2 0.3945 0.7270 0.5683
O3 0.8342 0.1661 0.5655
O4 0.8418 0.9498 0.8081
O5 0.8591 0.4681 0.3014
O6 0.8686 0.6883 0.0868
F1 0.3424 0.7155 0.1079
F2 0.3498 0.5340 0.3211
F3 0.3590 0.9563 0.3210
F4 0.3602 0.4467 0.8198
F5 0.3655 0.0067 0.8175
F6 0.3723 0.2271 0.6042
F7 0.7775 0.9324 0.3230
F8 0.7983 0.4376 0.8172
F9 0.8509 0.7053 0.5670
F10 0.8562 0.2073 0.0794
```

=====

No. 2
The following is a calculated XRD peak list of Mn3O5F. It was derived from a PBE+U-relaxed structure, using Cu Kα, 1.54184 Å.

Peak list (6 most intense, 10° ≤ 2θ ≤ 90°, by angle)
Position (°2θ)  Rel. int.  h k l
27.3  98  1 1 1
28.2  100  -1 1 1
35.7  57  1 -1 2
35.9  52  0 2 -1
54.2  30  1 3 0
54.9  30  2 -2 1

Structure:
```
data_Mn3O5F
_chemical_formula_sum 'Mn6 O10 F2'
_cell_length_a 4.5438
_cell_length_b 5.4415
_cell_length_c 7.5643
_cell_angle_alpha 86.31
_cell_angle_beta 88.77
_cell_angle_gamma 88.70
_space_group_name_H-M_alt 'P -1'
_space_group_IT_number 2
_space_group_name_Hall '-P 1'
loop_
_atom_site_label
_atom_site_fract_x
_atom_site_fract_y
_atom_site_fract_z
Mn1 0.0000 0.0000 0.0000
Mn2 0.0126 0.3441 0.6689
Mn3 0.4828 0.8215 0.6592
Mn4 0.5000 0.5000 0.0000
O1 0.1925 0.6289 0.5609
O2 0.1941 0.2976 0.8961
O3 0.3019 0.1275 0.5641
O4 0.3058 0.4631 0.2327
O5 0.3103 0.7975 0.8954
F1 0.2074 0.9618 0.2464
```

=====

No. 3
The following is a calculated XRD peak list of Mn8O13F3. It was derived from a PBE+U-relaxed structure, using Cu Kα, 1.54184 Å.

Peak list (6 most intense, 10° ≤ 2θ ≤ 90°, by angle)
Position (°2θ)  Rel. int.  h k l
25.3  100  1 0 2
25.6  96  1 0 -2
31.0  84  1 1 2
31.1  85  1 -1 2
31.3  89  1 1 -2
31.4  80  -1 1 2

Structure:
```
data_Mn8O13F3
_chemical_formula_sum 'Mn8 O13 F3'
_cell_length_a 4.5200
_cell_length_b 5.0012
_cell_length_c 11.0772
_cell_angle_alpha 89.95
_cell_angle_beta 89.26
_cell_angle_gamma 89.66
_space_group_name_H-M_alt 'P 1'
_space_group_IT_number 1
_space_group_name_Hall 'P 1'
loop_
_atom_site_label
_atom_site_fract_x
_atom_site_fract_y
_atom_site_fract_z
Mn1 0.0000 0.0000 0.0000
Mn2 0.0037 0.4993 0.8668
Mn3 0.4551 0.0047 0.2595
Mn4 0.4752 0.5039 0.6019
Mn5 0.4804 0.5229 0.1097
Mn6 0.4851 0.0247 0.7591
Mn7 0.9838 0.5216 0.3598
Mn8 0.9893 0.0016 0.5183
O1 0.1992 0.8399 0.3808
O2 0.2038 0.3343 0.4870
O3 0.2272 0.3329 0.9883
O4 0.2294 0.8334 0.8782
O5 0.2469 0.3431 0.2377
O6 0.2509 0.8443 0.1232
O7 0.2573 0.3427 0.7414
O8 0.2637 0.8357 0.6315
O9 0.7048 0.6887 0.2392
O10 0.7145 0.1845 0.6283
O11 0.7490 0.6830 0.4902
O12 0.7628 0.6809 0.9889
O13 0.7669 0.1818 0.8781
F1 0.7321 0.1810 0.1226
F2 0.7356 0.6817 0.7460
F3 0.7404 0.1859 0.3729
```

=====

No. 4
The following is a calculated XRD peak list of Mn8O13F3. It was derived from a PBE+U-relaxed structure, using Cu Kα, 1.54184 Å.

Peak list (6 most intense, 10° ≤ 2θ ≤ 90°, by angle)
Position (°2θ)  Rel. int.  h k l
25.4  58  1 -1 0
25.8  55  1 1 0
31.2  99  -1 1 2
31.5  100  1 1 2
37.4  43  0 2 2
55.1  46  2 0 4

Structure:
```
data_Mn8O13F3
_chemical_formula_sum 'Mn8 O13 F3'
_cell_length_a 4.4914
_cell_length_b 5.4987
_cell_length_c 9.9561
_cell_angle_alpha 90.03
_cell_angle_beta 90.06
_cell_angle_gamma 90.93
_space_group_name_H-M_alt 'P 1'
_space_group_IT_number 1
_space_group_name_Hall 'P 1'
loop_
_atom_site_label
_atom_site_fract_x
_atom_site_fract_y
_atom_site_fract_z
Mn1 0.0000 0.0000 0.0000
Mn2 0.0001 0.3110 0.2493
Mn3 0.4724 0.7870 0.2549
Mn4 0.4955 0.5007 0.0014
Mn5 0.4997 0.4879 0.4975
Mn6 0.5255 0.7863 0.7523
Mn7 0.9773 0.0117 0.4957
Mn8 0.9903 0.3095 0.7473
O1 0.2121 0.0342 0.3333
O2 0.2205 0.2637 0.5834
O3 0.2269 0.2633 0.0870
O4 0.2540 0.5375 0.3400
O5 0.2640 0.7574 0.0870
O6 0.2708 0.5404 0.8350
O7 0.7133 0.7640 0.4158
O8 0.7202 0.5411 0.1667
O9 0.7265 0.5373 0.6617
O10 0.7353 0.7548 0.9141
O11 0.7636 0.2623 0.4097
O12 0.7666 0.0347 0.6652
O13 0.7695 0.2602 0.9136
F1 0.2549 0.7710 0.5891
F2 0.2577 0.0352 0.8259
F3 0.7332 0.0365 0.1724
```

=====

No. 5
The following is a calculated XRD peak list of Mn3O4F2. It was derived from a PBE+U-relaxed structure, using Cu Kα, 1.54184 Å.

Peak list (6 most intense, 10° ≤ 2θ ≤ 90°, by angle)
Position (°2θ)  Rel. int.  h k l
27.3  100  2 0 0
35.0  54  1 3 1
40.3  17  0 6 1
53.4  32  3 3 1
53.5  28  1 9 1
68.1  21  3 9 1

Structure:
```
data_Mn3O4F2
_chemical_formula_sum 'Mn12 O16 F8'
_cell_length_a 6.5307
_cell_length_b 19.5506
_cell_length_c 3.0830
_cell_angle_alpha 90.00
_cell_angle_beta 90.00
_cell_angle_gamma 90.00
_space_group_name_H-M_alt 'C m m m'
_space_group_IT_number 65
_space_group_name_Hall '-C 2 2'
loop_
_atom_site_label
_atom_site_fract_x
_atom_site_fract_y
_atom_site_fract_z
Mn1 0.0000 0.0000 0.0000
Mn2 0.0000 0.1593 0.5000
Mn3 0.0000 0.3400 0.0000
Mn4 0.0000 0.5000 0.5000
O1 0.0000 0.0632 0.5000
O2 0.0000 0.4009 0.5000
O3 0.1920 0.1660 0.0000
F1 0.0000 0.2673 0.5000
F2 0.1929 0.5000 0.0000
```

=====

No. 6
The following is a calculated XRD peak list of Mn6OF11. It was derived from a PBE+U-relaxed structure, using Cu Kα, 1.54184 Å.

Peak list (6 most intense, 10° ≤ 2θ ≤ 90°, by angle)
Position (°2θ)  Rel. int.  h k l
23.5  77  1 1 0
28.7  100  1 1 -3
28.8  96  1 1 3
39.3  40  1 2 3
50.1  51  2 0 6
51.2  33  2 2 3

Structure:
```
data_Mn6OF11
_chemical_formula_sum 'Mn12 O2 F22'
_cell_length_a 4.9427
_cell_length_b 5.8802
_cell_length_c 16.2629
_cell_angle_alpha 90.00
_cell_angle_beta 90.29
_cell_angle_gamma 90.00
_space_group_name_H-M_alt 'P 1 2 1'
_space_group_IT_number 3
_space_group_name_Hall 'P 2y'
loop_
_atom_site_label
_atom_site_fract_x
_atom_site_fract_y
_atom_site_fract_z
Mn1 0.0000 0.0000 0.0000
Mn2 0.0000 0.3033 0.5000
Mn3 0.0023 0.3375 0.1687
Mn4 0.0141 0.0090 0.6588
Mn5 0.4881 0.5053 0.6613
Mn6 0.4969 0.8403 0.1695
Mn7 0.5000 0.5007 0.0000
Mn8 0.5000 0.8781 0.5000
O1 0.2186 0.0700 0.5537
F1 0.2143 0.0532 0.2301
F2 0.2298 0.2798 0.3868
F3 0.2308 0.2736 0.0588
F4 0.2329 0.0646 0.8900
F5 0.2344 0.2753 0.7232
F6 0.2518 0.5489 0.5487
F7 0.2639 0.7770 0.7204
F8 0.2683 0.5659 0.8896
F9 0.2705 0.7747 0.0585
F10 0.2791 0.5598 0.2260
F11 0.2824 0.7842 0.3907
```

=====

No. 7
The following is a calculated XRD peak list of Mn6OF11. It was derived from a PBE+U-relaxed structure, using Cu Kα, 1.54184 Å.

Peak list (6 most intense, 10° ≤ 2θ ≤ 90°, by angle)
Position (°2θ)  Rel. int.  h k l
28.8  53  2 0 -3
29.6  100  0 2 3
29.9  47  2 0 3
48.5  82  2 2 -6
49.3  26  0 4 0
49.9  50  2 2 6

Structure:
```
data_Mn6OF11
_chemical_formula_sum 'Mn24 O4 F44'
_cell_length_a 7.5091
_cell_length_b 7.3969
_cell_length_c 15.6225
_cell_angle_alpha 90.00
_cell_angle_beta 92.06
_cell_angle_gamma 90.00
_space_group_name_H-M_alt 'C 1 m 1'
_space_group_IT_number 8
_space_group_name_Hall 'C -2y'
loop_
_atom_site_label
_atom_site_fract_x
_atom_site_fract_y
_atom_site_fract_z
Mn1 0.0000 0.0000 0.0000
Mn2 0.0005 0.5000 0.9994
Mn3 0.0184 0.5000 0.3445
Mn4 0.0403 0.0000 0.6718
Mn5 0.2434 0.2449 0.8313
Mn6 0.2513 0.2473 0.1682
Mn7 0.2602 0.2656 0.4997
Mn8 0.4746 0.0000 0.6735
Mn9 0.4975 0.5000 0.3356
O1 0.2212 0.5000 0.4206
O2 0.2464 0.0000 0.7438
F1 0.0001 0.2673 0.9142
F2 0.0017 0.2300 0.0869
F3 0.0066 0.2208 0.4206
F4 0.0152 0.3001 0.5803
F5 0.1952 0.5000 0.7565
F6 0.2092 0.0000 0.5737
F7 0.2128 0.0000 0.2489
F8 0.2332 0.0000 0.9178
F9 0.2328 0.5000 0.0837
F10 0.2680 0.5000 0.9166
F11 0.2728 0.0000 0.0846
F12 0.2753 0.5000 0.2480
F13 0.2910 0.0000 0.4160
F14 0.3290 0.5000 0.5923
F15 0.4767 0.2840 0.7465
F16 0.4976 0.2151 0.2550
```

=====

No. 8
The following is a calculated XRD peak list of Mn12O5F19. It was derived from a PBE+U-relaxed structure, using Cu Kα, 1.54184 Å.

Peak list (6 most intense, 10° ≤ 2θ ≤ 90°, by angle)
Position (°2θ)  Rel. int.  h k l
23.5  47  1 1 0
24.0  46  1 -1 0
28.7  55  1 1 3
29.2  100  -1 1 3
29.5  48  1 -1 3
50.9  42  2 0 -6

Structure:
```
data_Mn12O5F19
_chemical_formula_sum 'Mn12 O5 F19'
_cell_length_a 4.8806
_cell_length_b 5.8526
_cell_length_c 15.9597
_cell_angle_alpha 88.65
_cell_angle_beta 89.69
_cell_angle_gamma 88.94
_space_group_name_H-M_alt 'P 1'
_space_group_IT_number 1
_space_group_name_Hall 'P 1'
loop_
_atom_site_label
_atom_site_fract_x
_atom_site_fract_y
_atom_site_fract_z
Mn1 0.0000 0.0000 0.0000
Mn2 0.0009 0.0149 0.6783
Mn3 0.4550 0.8428 0.8402
Mn4 0.4747 0.5296 0.0042
Mn5 0.4865 0.5270 0.3401
Mn6 0.4956 0.5278 0.6637
Mn7 0.5086 0.8304 0.4991
Mn8 0.5136 0.8678 0.1768
Mn9 0.9576 0.0044 0.3401
Mn10 0.9629 0.3532 0.5087
Mn11 0.9808 0.3240 0.1743
Mn12 0.9968 0.3268 0.8356
O1 0.2025 0.0535 0.7877
O2 0.2694 0.7862 0.9437
O3 0.6903 0.7856 0.3924
O4 0.6995 0.5816 0.5581
O5 0.7819 0.0815 0.2306
F1 0.2055 0.0493 0.4492
F2 0.2139 0.2955 0.9499
F3 0.2164 0.2951 0.6154
F4 0.2191 0.0726 0.1129
F5 0.2224 0.2943 0.2882
F6 0.2354 0.5591 0.4454
F7 0.2416 0.5573 0.1200
F8 0.2494 0.7891 0.2792
F9 0.2524 0.5564 0.7696
F10 0.2654 0.8060 0.6066
F11 0.6866 0.8066 0.7328
F12 0.7140 0.5715 0.8851
F13 0.7180 0.7828 0.0624
F14 0.7187 0.5654 0.2268
F15 0.7412 0.2843 0.3990
F16 0.7447 0.0741 0.8959
F17 0.7505 0.2890 0.0588
F18 0.7571 0.3013 0.7251
F19 0.7587 0.0695 0.5675
```

=====

No. 9
The following is a calculated XRD peak list of Mn8O13F3. It was derived from a PBE+U-relaxed structure, using Cu Kα, 1.54184 Å.

Peak list (6 most intense, 10° ≤ 2θ ≤ 90°, by angle)
Position (°2θ)  Rel. int.  h k l
25.5  57  0 0 2
25.7  54  0 2 0
31.2  48  1 0 -2
31.4  100  1 -2 0
31.5  47  1 2 0
37.3  42  1 2 -2

Structure:
```
data_Mn8O13F3
_chemical_formula_sum 'Mn8 O13 F3'
_cell_length_a 4.9914
_cell_length_b 7.0640
_cell_length_c 7.1302
_cell_angle_alpha 101.53
_cell_angle_beta 90.22
_cell_angle_gamma 90.14
_space_group_name_H-M_alt 'P 1'
_space_group_IT_number 1
_space_group_name_Hall 'P 1'
loop_
_atom_site_label
_atom_site_fract_x
_atom_site_fract_y
_atom_site_fract_z
Mn1 0.0000 0.0000 0.0000
Mn2 0.0029 0.5104 0.4916
Mn3 0.0300 0.5015 0.0108
Mn4 0.4863 0.3519 0.6444
Mn5 0.4979 0.8516 0.6618
Mn6 0.5196 0.8424 0.1459
Mn7 0.5279 0.3659 0.1498
Mn8 0.9801 0.0107 0.5104
O1 0.1592 0.2581 0.5169
O2 0.1658 0.9909 0.7480
O3 0.1858 0.7581 0.0143
O4 0.2005 0.4937 0.2434
O5 0.3249 0.6019 0.6363
O6 0.3472 0.3696 0.9064
O7 0.6573 0.1014 0.6349
O8 0.6735 0.3719 0.4062
O9 0.6760 0.8727 0.9065
O10 0.7027 0.5985 0.1390
O11 0.8184 0.7610 0.5177
O12 0.8312 0.9905 0.2471
O13 0.8485 0.2594 0.0178
F1 0.3178 0.8735 0.3968
F2 0.3398 0.1123 0.1405
F3 0.8293 0.4912 0.7621
```

=====

Repeat the eighth record exactly.
The following is a calculated XRD peak list of Mn12O5F19. It was derived from a PBE+U-relaxed structure, using Cu Kα, 1.54184 Å.

Peak list (6 most intense, 10° ≤ 2θ ≤ 90°, by angle)
Position (°2θ)  Rel. int.  h k l
23.5  47  1 1 0
24.0  46  1 -1 0
28.7  55  1 1 3
29.2  100  -1 1 3
29.5  48  1 -1 3
50.9  42  2 0 -6

Structure:
```
data_Mn12O5F19
_chemical_formula_sum 'Mn12 O5 F19'
_cell_length_a 4.8806
_cell_length_b 5.8526
_cell_length_c 15.9597
_cell_angle_alpha 88.65
_cell_angle_beta 89.69
_cell_angle_gamma 88.94
_space_group_name_H-M_alt 'P 1'
_space_group_IT_number 1
_space_group_name_Hall 'P 1'
loop_
_atom_site_label
_atom_site_fract_x
_atom_site_fract_y
_atom_site_fract_z
Mn1 0.0000 0.0000 0.0000
Mn2 0.0009 0.0149 0.6783
Mn3 0.4550 0.8428 0.8402
Mn4 0.4747 0.5296 0.0042
Mn5 0.4865 0.5270 0.3401
Mn6 0.4956 0.5278 0.6637
Mn7 0.5086 0.8304 0.4991
Mn8 0.5136 0.8678 0.1768
Mn9 0.9576 0.0044 0.3401
Mn10 0.9629 0.3532 0.5087
Mn11 0.9808 0.3240 0.1743
Mn12 0.9968 0.3268 0.8356
O1 0.2025 0.0535 0.7877
O2 0.2694 0.7862 0.9437
O3 0.6903 0.7856 0.3924
O4 0.6995 0.5816 0.5581
O5 0.7819 0.0815 0.2306
F1 0.2055 0.0493 0.4492
F2 0.2139 0.2955 0.9499
F3 0.2164 0.2951 0.6154
F4 0.2191 0.0726 0.1129
F5 0.2224 0.2943 0.2882
F6 0.2354 0.5591 0.4454
F7 0.2416 0.5573 0.1200
F8 0.2494 0.7891 0.2792
F9 0.2524 0.5564 0.7696
F10 0.2654 0.8060 0.6066
F11 0.6866 0.8066 0.7328
F12 0.7140 0.5715 0.8851
F13 0.7180 0.7828 0.0624
F14 0.7187 0.5654 0.2268
F15 0.7412 0.2843 0.3990
F16 0.7447 0.0741 0.8959
F17 0.7505 0.2890 0.0588
F18 0.7571 0.3013 0.7251
F19 0.7587 0.0695 0.5675
```

=====

Number 6 is which compound? Mn6OF11